Structure and simulated powder XRD pattern of UTiSe3 (a cell relaxed with GGA-PBE; Cu Kα (weighted mean of Kα1 and Kα2)).
Peak positions follow from Bragg's law for the DFT cell and can differ from measured ones.

abc: 10.1805 10.1805 6.7091
angles: 90.00 90.00 158.06
Sites, in units of the cell vectors:
U  0.1611  0.8389  0.5000
U  0.8389  0.1611  0.0000
Ti  0.3305  0.6695  0.5028
Ti  0.6695  0.3305  0.0028
Se  0.0965  0.9035  0.1370
Se  0.2485  0.7515  0.8328
Se  0.4127  0.5873  0.1989
Se  0.5873  0.4127  0.6989
Se  0.7515  0.2485  0.3328
Se  0.9035  0.0965  0.6370

Most intense lines, 5 to 70 degrees two-theta, most intense first:
2theta  I (rel.)
8.85  100
34.91  80
47.15  56
29.82  53
41.53  50
38.07  49
15.91  48
26.60  43
17.75  39
61.93  38